Structure and theoretical XRD peak list of Sc3Fe2Ge3 (a cell relaxed with PBE; a wavelength of 1.5418 Å).

Structural model:
```
data_Sc3Fe2Ge3
_chemical_formula_sum 'Sc12 Fe8 Ge12'
_space_group_name_H-M_alt 'C m c m'
_space_group_IT_number 63
_space_group_name_Hall '-C 2c 2'
_cell_length_a 4.0175
_cell_length_b 10.1115
_cell_length_c 13.1095
_cell_angle_alpha 90.00
_cell_angle_beta 90.00
_cell_angle_gamma 90.00
loop_
_atom_site_label
_atom_site_fract_x
_atom_site_fract_y
_atom_site_fract_z
Sc1 0.0000 0.0818 0.1115
Sc2 0.0000 0.3566 0.2500
Fe1 0.0000 0.2159 0.5838
Ge1 0.0000 0.3358 0.7500
Ge2 0.0000 0.3835 0.0434
```

Main lines, low angle first (10° ≤ 2θ ≤ 80°):
2θ/deg	I (rel.)
13.5	44
17.5	30
27.0	33
35.5	81
36.5	95
40.6	100
41.3	58
44.7	45
45.1	79
62.8	31